# 1
For HfZrBi, a cell relaxed with PBE gives the calculated powder diffractogram in this record (Cu Kα (weighted mean of Kα1 and Kα2)).
Kinematic intensities with the Lorentz-polarization factor, no thermal factor.

Structure:
Cell: 7.5037 7.0667 7.9954 Å, 59.38 54.14 66.48°
Fractional coordinates of all 12 atoms:
1 Hf 0.1973 0.8027 0.4374
2 Hf 0.6874 0.8126 0.4473
3 Hf 0.8027 0.1973 0.5626
4 Hf 0.8126 0.6874 0.0527
5 Zr 0.0098 0.1638 0.1121
6 Zr 0.1379 0.5356 0.2402
7 Zr 0.1638 0.0098 0.7144
8 Zr 0.5356 0.1379 0.0862
9 Bi 0.3252 0.5101 0.7998
10 Bi 0.4502 0.8850 0.9248
11 Bi 0.5101 0.3252 0.3650
12 Bi 0.8850 0.4502 0.7399

Most intense lines, 15 to 90 degrees two-theta, in order of falling intensity:
34.6°, rel. 100
31.3°, rel. 59
39.4°, rel. 51
38.1°, rel. 48
33.4°, rel. 45
49.3°, rel. 26
57.4°, rel. 20
65.2°, rel. 17
45.2°, rel. 13
66.2°, rel. 13

---

# 2
For HfZrBi, a cell relaxed with PBE gives the calculated powder diffractogram in this record (Cu Kα (weighted mean of Kα1 and Kα2)).
Kinematic intensities with the Lorentz-polarization factor, no thermal factor.

Structure:
Cell: 4.6037 3.8601 8.0530 Å, 90.00 90.14 90.00°
Fractional coordinates of all 6 atoms:
1 Hf 0.2502 0.2500 0.0173
2 Hf 0.7498 0.7500 0.9827
3 Zr 0.2518 0.7500 0.3462
4 Zr 0.7482 0.2500 0.6538
5 Bi 0.2486 0.7500 0.7214
6 Bi 0.7514 0.2500 0.2786

Most intense lines, 15 to 90 degrees two-theta, in order of falling intensity:
37.7°, rel. 100
32.2°, rel. 67
39.1°, rel. 32
33.4°, rel. 29
38.8°, rel. 19
47.1°, rel. 19
25.6°, rel. 18
62.8°, rel. 16
22.2°, rel. 13
58.9°, rel. 11

---

# 3
For Hf3Zr8Bi, a cell relaxed with PBE gives the calculated powder diffractogram in this record (Cu Kα (weighted mean of Kα1 and Kα2)).
Kinematic intensities with the Lorentz-polarization factor, no thermal factor.

Structure:
Cell: 7.5651 7.5651 7.5651 Å, 117.33 117.33 94.69°
Fractional coordinates of all 12 atoms:
1 Hf 0.0000 0.0000 0.0000
2 Hf 0.2500 0.7500 0.5000
3 Hf 0.7500 0.2500 0.5000
4 Zr 0.0877 0.0877 0.7149
5 Zr 0.2109 0.2109 0.4845
6 Zr 0.2736 0.7891 0.0000
7 Zr 0.3728 0.3728 0.2851
8 Zr 0.6272 0.9123 0.0000
9 Zr 0.7264 0.7264 0.5155
10 Zr 0.7891 0.2736 0.0000
11 Zr 0.9123 0.6272 0.0000
12 Bi 0.5000 0.5000 0.0000

Most intense lines, 15 to 90 degrees two-theta, in order of falling intensity:
40.3°, rel. 100
23.6°, rel. 79
32.2°, rel. 64
35.0°, rel. 36
48.3°, rel. 35
26.8°, rel. 26
66.4°, rel. 25
62.9°, rel. 20
49.6°, rel. 15
78.2°, rel. 12